Entry 1:
Starting from a PBE-relaxed structure, the powder X-ray diffraction pattern of TbBe9Rh2 was calculated for Cu Kα, 1.54184 Å.
Peak positions follow from Bragg's law for the DFT cell and can differ from measured ones.

Main lines, by angle (10° ≤ 2θ ≤ 80°):
d/Å	Rel. int.
3.878	55
3.742	100
3.574	34
2.628	24
2.301	93
2.239	63
1.921	22
1.897	48
1.605	27
1.304	30

```
TbBe9Rh2
1.0
4.478 0.000 0.000
-2.239 3.878 0.000
0.000 0.000 14.298
Tb Be Rh
2 18 4
Direct
0.333 0.667 0.250 Tb
0.667 0.333 0.750 Tb
0.000 0.000 0.000 Be
0.000 0.000 0.250 Be
0.000 0.000 0.500 Be
0.000 0.000 0.750 Be
0.170 0.340 0.616 Be
0.170 0.340 0.884 Be
0.170 0.830 0.616 Be
0.170 0.830 0.884 Be
0.333 0.667 0.750 Be
0.340 0.170 0.116 Be
0.340 0.170 0.384 Be
0.660 0.830 0.616 Be
0.660 0.830 0.884 Be
0.667 0.333 0.250 Be
0.830 0.170 0.116 Be
0.830 0.170 0.384 Be
0.830 0.660 0.116 Be
0.830 0.660 0.384 Be
0.333 0.667 0.040 Rh
0.333 0.667 0.460 Rh
0.667 0.333 0.540 Rh
0.667 0.333 0.960 Rh
```

=====

Entry 2:
Starting from a PBE-relaxed structure, the powder X-ray diffraction pattern of In2AgF7 was calculated for Cu Kα, 1.54184 Å.
Peak positions follow from Bragg's law for the DFT cell and can differ from measured ones.

Main lines, by angle (10° ≤ 2θ ≤ 80°):
d/Å	Rel. int.
3.590	57
3.338	16
3.286	100
2.978	50
2.714	36
2.210	16
1.937	66
1.902	40
1.730	22
1.705	39

```
In2AgF7
1.0
1.937 1.119 10.771
-1.937 1.119 10.771
0.000 -2.237 10.771
In Ag F
2 1 7
Direct
0.065 0.065 0.065 In
0.935 0.935 0.935 In
0.500 0.500 0.500 Ag
0.000 0.000 0.000 F
0.129 0.129 0.129 F
0.283 0.283 0.283 F
0.413 0.413 0.413 F
0.587 0.587 0.587 F
0.717 0.717 0.717 F
0.871 0.871 0.871 F
```